Entry 1:
Calculated powder diffraction line list
Compound: Mg14TiMnO16
Radiation: CuKα
Structure: a PBE+U-relaxed structure

Largest 12 diffraction maxima, by intensity, 2θ from 10° to 90°:
h k l	2theta	I/Imax
2 0 4	61.1	100
0 0 4	42.0	90
0 4 0	42.1	89
2 0 0	42.3	88
0 4 4	60.9	50
2 4 4	77.0	45
1 2 2	36.3	43
0 1 0	10.3	13
1 6 2	73.1	8
1 2 6	72.9	8
3 2 2	73.4	8
0 2 0	20.7	7

Structure:
```
data_Mg14TiMnO16
_space_group_name_H-M_alt 'P m m m'
_space_group_IT_number 47
_cell_length_a 4.2751
_cell_length_b 8.5897
_cell_length_c 8.6100
_cell_angle_alpha 90.00
_cell_angle_beta 90.00
_cell_angle_gamma 90.00
loop_
_space_group_symop_operation_xyz
'x,y,z'
'-x,-y,-z'
'-x,-y,z'
'x,y,-z'
'x,-y,-z'
'-x,y,z'
'-x,y,-z'
'x,-y,z'
loop_
_atom_site_label
_atom_site_type_symbol
_atom_site_fract_x
_atom_site_fract_y
_atom_site_fract_z
Mg1 Mg 0.0000 0.0000 0.0000
Mg2 Mg 0.0000 0.0000 0.5000
Mg3 Mg 0.0000 0.2480 0.2500
Mg4 Mg 0.5000 0.0000 0.2498
Mg5 Mg 0.5000 0.2476 0.0000
Mg6 Mg 0.5000 0.2476 0.5000
Mg7 Mg 0.5000 0.5000 0.2495
Ti1 Ti 0.0000 0.5000 0.5000
Mn1 Mn 0.0000 0.5000 0.0000
O1 O 0.0000 0.0000 0.2506
O2 O 0.0000 0.2419 0.0000
O3 O 0.0000 0.2438 0.5000
O4 O 0.0000 0.5000 0.2508
O5 O 0.5000 0.0000 0.0000
O6 O 0.5000 0.0000 0.5000
O7 O 0.5000 0.2508 0.2501
O8 O 0.5000 0.5000 0.0000
O9 O 0.5000 0.5000 0.5000
```



Entry 2:
Calculated powder diffraction line list
Compound: Mg14TiMnO16
Radiation: CuKα
Structure: a PBE+U-relaxed structure

Largest 12 diffraction maxima, by intensity, 2θ from 10° to 90°:
h k l	2theta	I/Imax
4 0 0	42.1	100
4 0 2	61.1	56
0 0 2	42.3	49
4 4 0	61.0	28
4 4 2	77.0	25
2 2 1	36.3	24
6 2 1	73.1	9
1 1 0	14.6	6
2 2 3	73.4	5
2 2 0	29.4	4
1 1 1	25.5	4
2 0 0	20.7	4

Structure:
```
data_Mg14TiMnO16
_space_group_name_H-M_alt 'P 4/m m m'
_space_group_IT_number 123
_space_group_name_Hall '-P 4 2'
_cell_length_a 8.5945
_cell_length_b 8.5945
_cell_length_c 4.2764
_cell_angle_alpha 90.00
_cell_angle_beta 90.00
_cell_angle_gamma 90.00
loop_
_atom_site_label
_atom_site_type_symbol
_atom_site_fract_x
_atom_site_fract_y
_atom_site_fract_z
Mg1 Mg 0.0000 0.2523 0.0000
Mg2 Mg 0.0000 0.5000 0.5000
Mg3 Mg 0.2482 0.5000 0.0000
Mg4 Mg 0.2499 0.2499 0.5000
Ti1 Ti 0.0000 0.0000 0.5000
Mn1 Mn 0.5000 0.5000 0.5000
O1 O 0.0000 0.0000 0.0000
O2 O 0.0000 0.2545 0.5000
O3 O 0.0000 0.5000 0.0000
O4 O 0.2432 0.5000 0.5000
O5 O 0.2499 0.2499 0.0000
O6 O 0.5000 0.5000 0.0000
```